# 1
The following is a calculated powder XRD pattern of YGe2Pd3. It was derived from a crystal structure in Alexandria, relaxed with GGA-PBE, using λ = 1.5418 Å (Cu Kα).
No peak broadening, texture or thermal motion is included.

Atomic structure:
a = 16.7751 Å, b = 4.0478 Å, c = 10.0026 Å
α = 90.00°, β = 108.30°, γ = 90.00°
Space group C2/m (No. 12)
Symmetry-distinct sites (fractional):
Y  0.0000  0.0000  0.0000 [2 per cell]
Y  0.1539  0.0000  0.6963 [4 per cell]
Ge  0.0399  0.5000  0.7837 [4 per cell]
Ge  0.1370  0.5000  0.4546 [4 per cell]
Ge  0.1974  0.0000  0.1308 [4 per cell]
Pd  0.0000  0.5000  0.5000 [2 per cell]
Pd  0.0403  0.0000  0.3303 [4 per cell]
Pd  0.1190  0.5000  0.1952 [4 per cell]
Pd  0.1810  0.5000  0.9628 [4 per cell]
Pd  0.2183  0.0000  0.3914 [4 per cell]

Peak list (6 most intense, 2θ = 5–70°, by angle)
2θ = 34.7°, intensity 31
2θ = 35.0°, intensity 100
2θ = 36.2°, intensity 31
2θ = 39.4°, intensity 31
2θ = 44.0°, intensity 47
2θ = 44.8°, intensity 56

---

# 2
The following is a calculated powder XRD pattern of MgGe2Bi2Pt7. It was derived from a crystal structure in Alexandria, relaxed with GGA-PBE, using λ = 1.5418 Å (Cu Kα).
No peak broadening, texture or thermal motion is included.

Atomic structure:
a = 5.6279 Å, b = 5.6252 Å, c = 15.5879 Å
α = 90.00°, β = 100.31°, γ = 90.00°
Space group C2/m (No. 12)
Symmetry-distinct sites (fractional):
Mg  0.0000  0.0000  0.0000 [2 per cell]
Ge  0.1146  0.5000  0.2325 [4 per cell]
Bi  0.2105  0.0000  0.4213 [4 per cell]
Pt  0.0000  0.5000  0.0000 [2 per cell]
Pt  0.1849  0.2502  0.8670 [8 per cell]
Pt  0.1959  0.5000  0.3918 [4 per cell]

Peak list (6 most intense, 2θ = 5–70°, by angle)
2θ = 11.5°, intensity 27
2θ = 23.2°, intensity 53
2θ = 32.4°, intensity 100
2θ = 36.5°, intensity 70
2θ = 43.7°, intensity 96
2θ = 45.6°, intensity 82

---

# 3
The following is a calculated powder XRD pattern of Sr2Al12AgPt3. It was derived from a crystal structure in Alexandria, relaxed with GGA-PBE, using λ = 1.5418 Å (Cu Kα).
No peak broadening, texture or thermal motion is included.

Atomic structure:
a = 9.2021 Å, b = 9.2021 Å, c = 18.2211 Å
α = 90.00°, β = 90.00°, γ = 120.00°
Space group R-3m (No. 166, hexagonal axes)
Symmetry-distinct sites (fractional):
Sr  0.0000  0.0000  0.1032 [6 per cell]
Al  0.0082  0.5041  0.1354 [18 per cell]
Al  0.0876  0.5438  0.2921 [18 per cell]
Ag  0.0000  0.0000  0.5000 [3 per cell]
Pt  0.0000  0.5000  0.0000 [9 per cell]

Peak list (6 most intense, 2θ = 5–70°, by angle)
2θ = 12.1°, intensity 58
2θ = 22.8°, intensity 100
2θ = 24.3°, intensity 44
2θ = 24.4°, intensity 69
2θ = 39.2°, intensity 63
2θ = 45.9°, intensity 46

---

# 4
The following is a calculated powder XRD pattern of Cs2MnGaS4. It was derived from a crystal structure in Alexandria, relaxed with GGA-PBE, using λ = 1.5418 Å (Cu Kα).
No peak broadening, texture or thermal motion is included.

Atomic structure:
a = 5.9727 Å, b = 14.5238 Å, c = 24.2050 Å
α = 90.00°, β = 90.00°, γ = 90.00°
Space group Fddd (No. 70, origin choice 2)
Symmetry-distinct sites (fractional):
Cs  0.1250  0.1250  0.3015 [16 per cell]
Mn  0.1250  0.1250  0.1250 [8 per cell]
Ga  0.1250  0.1250  0.6250 [8 per cell]
S  0.1242  0.2811  0.4202 [32 per cell]

Peak list (6 most intense, 2θ = 5–70°, by angle)
2θ = 19.5°, intensity 62
2θ = 24.5°, intensity 42
2θ = 25.3°, intensity 100
2θ = 26.1°, intensity 96
2θ = 30.1°, intensity 45
2θ = 32.4°, intensity 45

---

# 5
The following is a calculated powder XRD pattern of PmHo2ScS4. It was derived from a crystal structure in Alexandria, relaxed with GGA-PBE, using λ = 1.5418 Å (Cu Kα).
No peak broadening, texture or thermal motion is included.

Atomic structure:
a = 6.7090 Å, b = 3.8470 Å, c = 6.7884 Å
α = 90.00°, β = 109.02°, γ = 90.00°
Space group P2/m (No. 10)
Symmetry-distinct sites (fractional):
Pm  0.0000  0.0000  0.0000 [1 per cell]
Ho  0.5000  0.0000  0.5000 [1 per cell]
Ho  0.5000  0.5000  0.0000 [1 per cell]
Sc  0.0000  0.5000  0.5000 [1 per cell]
S  0.2455  0.0000  0.7368 [2 per cell]
S  0.2546  0.5000  0.2635 [2 per cell]

Peak list (6 most intense, 2θ = 5–70°, by angle)
2θ = 27.8°, intensity 17
2θ = 28.1°, intensity 17
2θ = 28.3°, intensity 33
2θ = 32.6°, intensity 100
2θ = 46.6°, intensity 24
2θ = 47.0°, intensity 23

---

# 6
The following is a calculated powder XRD pattern of Ba4PrYCu6O14. It was derived from a crystal structure in Alexandria, relaxed with GGA-PBE, using λ = 1.5418 Å (Cu Kα).
No peak broadening, texture or thermal motion is included.

Atomic structure:
a = 7.7380 Å, b = 23.7903 Å, c = 3.9351 Å
α = 90.00°, β = 90.00°, γ = 90.00°
Space group Cmmm (No. 65)
Symmetry-distinct sites (fractional):
Ba  0.0000  0.1604  0.0000 [4 per cell]
Ba  0.0000  0.3391  0.0000 [4 per cell]
Pr  0.0000  0.5000  0.0000 [2 per cell]
Y  0.0000  0.0000  0.0000 [2 per cell]
Cu  0.2470  0.0758  0.5000 [8 per cell]
Cu  0.2500  0.2500  0.5000 [4 per cell]
O  0.0000  0.0597  0.5000 [4 per cell]
O  0.0000  0.4351  0.5000 [4 per cell]
O  0.2418  0.0627  0.0000 [8 per cell]
O  0.2490  0.1710  0.5000 [8 per cell]
O  0.2500  0.2500  0.0000 [4 per cell]

Peak list (6 most intense, 2θ = 5–70°, by angle)
2θ = 32.0°, intensity 90
2θ = 32.3°, intensity 100
2θ = 32.5°, intensity 91
2θ = 57.2°, intensity 37
2θ = 57.5°, intensity 38
2θ = 58.0°, intensity 33

---

# 7
The following is a calculated powder XRD pattern of Na2AlBr5. It was derived from a crystal structure in Alexandria, relaxed with GGA-PBE, using λ = 1.5418 Å (Cu Kα).
No peak broadening, texture or thermal motion is included.

Atomic structure:
a = 7.0186 Å, b = 7.6460 Å, c = 7.6796 Å
α = 76.29°, β = 63.12°, γ = 62.98°
Space group P1 (No. 1)
Symmetry-distinct sites (fractional):
Na  0.0000  0.0000  0.0000 [1 per cell]
Na  0.4476  0.5499  0.5518 [1 per cell]
Al  0.8046  0.9575  0.5916 [1 per cell]
Br  0.1621  0.8003  0.3235 [1 per cell]
Br  0.4993  0.8424  0.7106 [1 per cell]
Br  0.6361  0.1972  0.3514 [1 per cell]
Br  0.7449  0.2281  0.7437 [1 per cell]
Br  0.9688  0.7138  0.8348 [1 per cell]

Peak list (6 most intense, 2θ = 5–70°, by angle)
2θ = 13.0°, intensity 100
2θ = 15.7°, intensity 77
2θ = 23.9°, intensity 55
2θ = 24.1°, intensity 55
2θ = 31.1°, intensity 78
2θ = 36.5°, intensity 50

---

# 8
The following is a calculated powder XRD pattern of Hf3Ir8. It was derived from a crystal structure in Alexandria, relaxed with GGA-PBE, using λ = 1.5418 Å (Cu Kα).
No peak broadening, texture or thermal motion is included.

Atomic structure:
a = 4.8239 Å, b = 5.6913 Å, c = 7.4856 Å
α = 96.64°, β = 108.43°, γ = 91.27°
Space group P-1 (No. 2)
Symmetry-distinct sites (fractional):
Hf  0.0000  0.0000  0.0000 [1 per cell]
Hf  0.0000  0.0000  0.5000 [1 per cell]
Hf  0.5000  0.5000  0.0000 [1 per cell]
Ir  0.0746  0.4400  0.1969 [2 per cell]
Ir  0.2783  0.5186  0.5761 [2 per cell]
Ir  0.4031  0.8343  0.3495 [2 per cell]
Ir  0.4088  0.8915  0.8261 [2 per cell]

Peak list (6 most intense, 2θ = 5–70°, by angle)
2θ = 31.7°, intensity 84
2θ = 38.4°, intensity 67
2θ = 38.9°, intensity 46
2θ = 42.2°, intensity 100
2θ = 42.5°, intensity 48
2θ = 43.5°, intensity 46